Calculated powder diffraction line list of Sn3PbSe4 for a wavelength of 1.5418 Å, from the PBE geometry in Alexandria.

The 10 most intense peaks (2θ from 15° to 90°), in order of rising 2θ:
| 2θ (°) | I_rel |
| --- | --- |
| 25.3 | 15 |
| 29.3 | 100 |
| 41.9 | 76 |
| 49.6 | 8 |
| 52.0 | 27 |
| 60.8 | 13 |
| 66.9 | 3 |
| 68.9 | 36 |
| 76.6 | 27 |
| 82.2 | 3 |

Structural model:
```
data_Sn3PbSe4
_cell_length_a 8.621
_cell_length_b 12.183
_cell_length_c 4.304
_cell_angle_alpha 90.00
_cell_angle_beta 90.00
_cell_angle_gamma 90.00
_space_group_name_H-M_alt 'P 1'
_space_group_IT_number 1
_space_group_name_Hall 'P 1'
loop_
_atom_site_label
_atom_site_fract_x
_atom_site_fract_y
_atom_site_fract_z
Sn1 0.000 0.000 0.000
Sn2 0.250 0.250 0.500
Sn3 0.250 0.750 0.500
Sn4 0.500 0.500 0.000
Sn5 0.750 0.250 0.500
Sn6 0.750 0.750 0.500
Pb1 0.000 0.500 0.000
Pb2 0.500 0.000 0.000
Se1 0.000 0.247 0.000
Se2 0.000 0.753 0.000
Se3 0.245 0.000 0.500
Se4 0.255 0.500 0.500
Se5 0.500 0.253 0.000
Se6 0.500 0.747 0.000
Se7 0.745 0.500 0.500
Se8 0.755 0.000 0.500
```

Calculated powder diffraction line list of PmNd7Er12 for a wavelength of 1.5418 Å, from the PBE geometry in Alexandria.

The 10 most intense peaks (2θ from 15° to 90°), in order of rising 2θ:
| 2θ (°) | I_rel |
| --- | --- |
| 28.8 | 25 |
| 30.7 | 35 |
| 31.6 | 100 |
| 31.8 | 48 |
| 32.6 | 23 |
| 33.1 | 57 |
| 36.5 | 17 |
| 42.0 | 14 |
| 55.3 | 26 |
| 58.7 | 15 |

Structural model:
```
data_PmNd7Er12
_cell_length_a 8.775
_cell_length_b 8.775
_cell_length_c 8.775
_cell_angle_alpha 86.01
_cell_angle_beta 86.01
_cell_angle_gamma 86.01
_space_group_name_H-M_alt 'P 1'
_space_group_IT_number 1
_space_group_name_Hall 'P 1'
loop_
_atom_site_label
_atom_site_fract_x
_atom_site_fract_y
_atom_site_fract_z
Pm1 0.000 0.000 0.000
Nd1 0.074 0.157 0.398
Nd2 0.157 0.398 0.074
Nd3 0.398 0.074 0.157
Nd4 0.500 0.500 0.500
Nd5 0.602 0.926 0.843
Nd6 0.843 0.602 0.926
Nd7 0.926 0.843 0.602
Er1 0.134 0.497 0.620
Er2 0.146 0.741 0.274
Er3 0.259 0.726 0.854
Er4 0.274 0.146 0.741
Er5 0.380 0.866 0.503
Er6 0.497 0.620 0.134
Er7 0.503 0.380 0.866
Er8 0.620 0.134 0.497
Er9 0.726 0.854 0.259
Er10 0.741 0.274 0.146
Er11 0.854 0.259 0.726
Er12 0.866 0.503 0.380
```

Calculated powder diffraction line list of MnCu2Pd2 for a wavelength of 1.5418 Å, from the PBE geometry in Alexandria.

The 10 most intense peaks (2θ from 15° to 90°), in order of rising 2θ:
| 2θ (°) | I_rel |
| --- | --- |
| 40.8 | 56 |
| 41.0 | 52 |
| 42.5 | 100 |
| 42.8 | 92 |
| 59.3 | 34 |
| 64.4 | 13 |
| 75.5 | 33 |
| 75.7 | 16 |
| 76.2 | 13 |
| 79.1 | 14 |

Structural model:
```
data_MnCu2Pd2
_cell_length_a 7.309
_cell_length_b 4.419
_cell_length_c 4.847
_cell_angle_alpha 90.00
_cell_angle_beta 115.99
_cell_angle_gamma 90.00
_space_group_name_H-M_alt 'P 1'
_space_group_IT_number 1
_space_group_name_Hall 'P 1'
loop_
_atom_site_label
_atom_site_fract_x
_atom_site_fract_y
_atom_site_fract_z
Mn1 0.000 0.000 0.000
Mn2 0.500 0.500 0.000
Cu1 0.094 0.500 0.783
Cu2 0.406 0.000 0.217
Cu3 0.594 0.000 0.783
Cu4 0.906 0.500 0.217
Pd1 0.209 0.000 0.629
Pd2 0.291 0.500 0.371
Pd3 0.709 0.500 0.629
Pd4 0.791 0.000 0.371
```

Calculated powder diffraction line list of Pr2MgPd7 for a wavelength of 1.5418 Å, from the PBE geometry in Alexandria.

The 10 most intense peaks (2θ from 15° to 90°), in order of rising 2θ:
| 2θ (°) | I_rel |
| --- | --- |
| 26.3 | 17 |
| 32.4 | 100 |
| 37.5 | 89 |
| 41.0 | 5 |
| 46.4 | 7 |
| 54.1 | 60 |
| 64.5 | 39 |
| 67.7 | 20 |
| 80.1 | 9 |
| 89.0 | 16 |

Structural model:
```
data_Pr2MgPd7
_cell_length_a 6.779
_cell_length_b 6.779
_cell_length_c 6.779
_cell_angle_alpha 60.00
_cell_angle_beta 60.00
_cell_angle_gamma 60.00
_space_group_name_H-M_alt 'P 1'
_space_group_IT_number 1
_space_group_name_Hall 'P 1'
loop_
_atom_site_label
_atom_site_fract_x
_atom_site_fract_y
_atom_site_fract_z
Pr1 0.250 0.250 0.250
Pr2 0.750 0.750 0.750
Mg1 0.000 0.000 0.000
Pd1 0.241 0.241 0.759
Pd2 0.241 0.759 0.241
Pd3 0.241 0.759 0.759
Pd4 0.500 0.500 0.500
Pd5 0.759 0.241 0.241
Pd6 0.759 0.241 0.759
Pd7 0.759 0.759 0.241
```

Calculated powder diffraction line list of RePd2Pt9 for a wavelength of 1.5418 Å, from the PBE geometry in Alexandria.

The 10 most intense peaks (2θ from 15° to 90°), in order of rising 2θ:
| 2θ (°) | I_rel |
| --- | --- |
| 22.5 | 2 |
| 32.0 | 2 |
| 39.4 | 100 |
| 45.9 | 49 |
| 51.7 | 1 |
| 57.0 | 1 |
| 66.9 | 32 |
| 80.4 | 13 |
| 80.6 | 26 |
| 84.9 | 11 |

Structural model:
```
data_RePd2Pt9
_cell_length_a 3.954
_cell_length_b 3.954
_cell_length_c 11.883
_cell_angle_alpha 90.00
_cell_angle_beta 90.00
_cell_angle_gamma 90.00
_space_group_name_H-M_alt 'P 1'
_space_group_IT_number 1
_space_group_name_Hall 'P 1'
loop_
_atom_site_label
_atom_site_fract_x
_atom_site_fract_y
_atom_site_fract_z
Re1 0.000 0.000 0.000
Pd1 0.000 0.000 0.331
Pd2 0.000 0.000 0.669
Pt1 0.000 0.500 0.161
Pt2 0.000 0.500 0.500
Pt3 0.000 0.500 0.839
Pt4 0.500 0.000 0.161
Pt5 0.500 0.000 0.500
Pt6 0.500 0.000 0.839
Pt7 0.500 0.500 0.000
Pt8 0.500 0.500 0.332
Pt9 0.500 0.500 0.668
```

Calculated powder diffraction line list of PrDy2Er7 for a wavelength of 1.5418 Å, from the PBE geometry in Alexandria.

The 10 most intense peaks (2θ from 15° to 90°), in order of rising 2θ:
| 2θ (°) | I_rel |
| --- | --- |
| 31.0 | 100 |
| 36.0 | 51 |
| 51.8 | 36 |
| 61.5 | 11 |
| 61.6 | 32 |
| 64.6 | 12 |
| 84.5 | 10 |
| 84.6 | 7 |
| 87.3 | 11 |
| 87.4 | 6 |

Structural model:
```
data_PrDy2Er7
_cell_length_a 6.119
_cell_length_b 7.063
_cell_length_c 7.893
_cell_angle_alpha 77.08
_cell_angle_beta 75.11
_cell_angle_gamma 73.22
_space_group_name_H-M_alt 'P 1'
_space_group_IT_number 1
_space_group_name_Hall 'P 1'
loop_
_atom_site_label
_atom_site_fract_x
_atom_site_fract_y
_atom_site_fract_z
Pr1 0.000 0.000 0.000
Dy1 0.200 0.301 0.599
Dy2 0.800 0.699 0.401
Er1 0.000 0.500 0.000
Er2 0.201 0.799 0.599
Er3 0.400 0.100 0.201
Er4 0.401 0.598 0.201
Er5 0.599 0.402 0.799
Er6 0.600 0.900 0.799
Er7 0.799 0.201 0.401
```

Calculated powder diffraction line list of Ba6SrCa10 for a wavelength of 1.5418 Å, from the PBE geometry in Alexandria.

The 10 most intense peaks (2θ from 15° to 90°), in order of rising 2θ:
| 2θ (°) | I_rel |
| --- | --- |
| 15.7 | 7 |
| 19.3 | 22 |
| 27.5 | 100 |
| 39.2 | 18 |
| 48.5 | 27 |
| 48.7 | 10 |
| 56.8 | 6 |
| 64.1 | 7 |
| 64.2 | 8 |
| 77.7 | 7 |

Structural model:
```
data_Ba6SrCa10
_cell_length_a 11.263
_cell_length_b 11.263
_cell_length_c 7.931
_cell_angle_alpha 90.00
_cell_angle_beta 90.00
_cell_angle_gamma 120.00
_space_group_name_H-M_alt 'P 1'
_space_group_IT_number 1
_space_group_name_Hall 'P 1'
loop_
_atom_site_label
_atom_site_fract_x
_atom_site_fract_y
_atom_site_fract_z
Ba1 0.000 0.350 0.333
Ba2 0.000 0.650 0.667
Ba3 0.350 0.000 0.333
Ba4 0.350 0.350 0.667
Ba5 0.650 0.000 0.667
Ba6 0.650 0.650 0.333
Sr1 0.000 0.000 0.500
Ca1 0.000 0.314 0.843
Ca2 0.000 0.686 0.157
Ca3 0.314 0.000 0.843
Ca4 0.314 0.314 0.157
Ca5 0.333 0.667 0.000
Ca6 0.333 0.667 0.500
Ca7 0.667 0.333 0.000
Ca8 0.667 0.333 0.500
Ca9 0.686 0.000 0.157
Ca10 0.686 0.686 0.843
```

Calculated powder diffraction line list of LaYO4 for a wavelength of 1.5418 Å, from the PBE geometry in Alexandria.

The 10 most intense peaks (2θ from 15° to 90°), in order of rising 2θ:
| 2θ (°) | I_rel |
| --- | --- |
| 26.8 | 33 |
| 27.7 | 42 |
| 28.6 | 100 |
| 30.4 | 29 |
| 31.9 | 21 |
| 39.7 | 15 |
| 45.4 | 21 |
| 46.9 | 23 |
| 47.3 | 16 |
| 48.4 | 28 |

Structural model:
```
data_LaYO4
_cell_length_a 6.716
_cell_length_b 3.997
_cell_length_c 6.501
_cell_angle_alpha 90.00
_cell_angle_beta 97.85
_cell_angle_gamma 90.00
_space_group_name_H-M_alt 'P 1'
_space_group_IT_number 1
_space_group_name_Hall 'P 1'
loop_
_atom_site_label
_atom_site_fract_x
_atom_site_fract_y
_atom_site_fract_z
La1 0.000 0.000 0.000
La2 0.500 0.500 0.000
Y1 0.105 0.500 0.540
Y2 0.605 0.000 0.540
O1 0.147 0.500 0.896
O2 0.215 0.000 0.352
O3 0.377 0.000 0.213
O4 0.449 0.500 0.615
O5 0.647 0.000 0.896
O6 0.715 0.500 0.352
O7 0.877 0.500 0.213
O8 0.949 0.000 0.615
```